(1)
Starting from the PBE geometry in the Materials Project, the XRD peak list of Cu3BiSe2BrO8 was simulated for Cu Kα (λ = 1.5418 Å).
Neutral-atom scattering factors, no anomalous dispersion.

Peak list (10 most intense, 2θ from 10° to 80°, in order of falling intensity)
2theta	d (Å)	I/Imax
25.86	3.445	1000
30.38	2.942	644
16.46	5.384	449
33.28	2.692	431
35.50	2.528	411
53.17	1.723	366
27.67	3.224	328
29.38	3.040	299
30.72	2.911	289
15.05	5.885	284

Cell: 6.4474 9.7864 7.3653 Å, 90.00 90.00 90.00°
Space group Pmmn (No. 59, origin choice 2)
One atom of each set of equivalent atoms:
Cu  0.0000  0.0000  0.0000 x4
Cu  0.2500  0.2500  0.2068 x2
Bi  0.2500  0.2500  0.7551 x2
Se  0.2500  0.5569  0.3890 x4
Br  0.2500  0.7500  0.8415 x2
O  0.0388  0.5844  0.2442 x8
O  0.2500  0.1140  0.0100 x4
O  0.2500  0.1173  0.4114 x4

(2)
Starting from the PBE geometry in the Materials Project, the XRD peak list of Cu3Bi2S4Br was simulated for Cu Kα (λ = 1.5418 Å).
Neutral-atom scattering factors, no anomalous dispersion.

Peak list (10 most intense, 2θ from 10° to 80°, in order of falling intensity)
2theta	d (Å)	I/Imax
34.93	2.569	1000
26.79	3.327	663
29.16	3.062	647
27.90	3.198	552
28.23	3.161	464
36.33	2.473	297
21.18	4.195	293
52.15	1.754	277
25.43	3.503	272
35.36	2.538	244

Cell: 4.0404 10.4624 21.0622 Å, 90.00 90.00 90.00°
Space group P2_12_12_1 (No. 19)
One atom of each set of equivalent atoms:
Cu  0.0281  0.0209  0.2840 x4
Cu  0.0905  0.6270  0.3755 x4
Cu  0.1897  0.7677  0.7106 x4
Bi  0.0118  0.1860  0.6248 x4
Bi  0.0874  0.6110  0.5522 x4
S  0.0034  0.8420  0.3528 x4
S  0.0032  0.8632  0.5465 x4
S  0.0120  0.4477  0.3211 x4
S  0.0240  0.3674  0.7095 x4
Br  0.0106  0.1399  0.4489 x4